[1]
Zn6NiAu12: simulated X-ray powder pattern (a wavelength of 1.5418 Å), based on DFT lattice parameters and positions (PBE).
Intensities are scaled so that the largest is 100.

Cell and atoms:
Cell: 6.8572 6.8572 6.8572 Å, 88.49 88.49 88.49°
Element x y z (fractional)
Zn: 0.2253 0.7631 0.4003
Zn: 0.2369 0.5997 0.7747
Zn: 0.4003 0.2253 0.7631
Zn: 0.5997 0.7747 0.2369
Zn: 0.7631 0.4003 0.2253
Zn: 0.7747 0.2369 0.5997
Ni: 0.5000 0.5000 0.5000
Au: 0.0431 0.2971 0.9429
Au: 0.0571 0.9569 0.7029
Au: 0.1421 0.3416 0.4907
Au: 0.2971 0.9429 0.0431
Au: 0.3416 0.4907 0.1421
Au: 0.4907 0.1421 0.3416
Au: 0.5093 0.8579 0.6584
Au: 0.6584 0.5093 0.8579
Au: 0.7029 0.0571 0.9569
Au: 0.8579 0.6584 0.5093
Au: 0.9429 0.0431 0.2971
Au: 0.9569 0.7029 0.0571

Top 12 peaks for 10 to 90 degrees two-theta, most intense first:
| 2θ/deg | d_spacing | I/Imax |
| --- | --- | --- |
| 39.92 | 2.259 | 100 |
| 41.34 | 2.184 | 91 |
| 29.44 | 3.034 | 61 |
| 38.50 | 2.338 | 56 |
| 39.45 | 2.284 | 40 |
| 42.01 | 2.150 | 35 |
| 43.92 | 2.061 | 26 |
| 37.60 | 2.392 | 21 |
| 31.28 | 2.859 | 19 |
| 74.75 | 1.270 | 19 |
| 32.41 | 2.762 | 18 |
| 69.42 | 1.354 | 18 |

***

[2]
Zn5NiAu: simulated X-ray powder pattern (a wavelength of 1.5418 Å), based on DFT lattice parameters and positions (PBE).
Intensities are scaled so that the largest is 100.

Cell and atoms:
Cell: 6.0064 6.0064 6.9426 Å, 109.49 109.49 75.16°
Element x y z (fractional)
Zn: 0.0425 0.9575 0.7500
Zn: 0.1135 0.3222 0.0781
Zn: 0.3099 0.5361 0.8721
Zn: 0.3222 0.1135 0.5781
Zn: 0.4639 0.6901 0.6279
Zn: 0.5361 0.3099 0.3721
Zn: 0.6778 0.8865 0.4219
Zn: 0.6901 0.4639 0.1279
Zn: 0.8865 0.6778 0.9219
Zn: 0.9575 0.0425 0.2500
Ni: 0.3001 0.6999 0.2500
Ni: 0.6999 0.3001 0.7500
Au: 0.0000 0.5000 0.5000
Au: 0.5000 0.0000 0.0000

Top 12 peaks for 10 to 90 degrees two-theta, most intense first:
| 2θ/deg | d_spacing | I/Imax |
| --- | --- | --- |
| 42.58 | 2.123 | 100 |
| 42.03 | 2.150 | 61 |
| 30.72 | 2.910 | 58 |
| 34.42 | 2.606 | 47 |
| 41.64 | 2.169 | 43 |
| 18.13 | 4.893 | 39 |
| 27.13 | 3.287 | 36 |
| 46.50 | 1.953 | 33 |
| 45.57 | 1.991 | 32 |
| 46.93 | 1.936 | 31 |
| 41.84 | 2.159 | 27 |
| 32.04 | 2.793 | 27 |

***

[3]
Zn7Ni2Au: simulated X-ray powder pattern (a wavelength of 1.5418 Å), based on DFT lattice parameters and positions (PBE).
Intensities are scaled so that the largest is 100.

Cell and atoms:
Cell: 4.1615 4.1615 10.4751 Å, 90.00 90.00 120.00°
Element x y z (fractional)
Zn: 0.0000 0.0000 0.0000
Zn: 0.0000 0.0000 0.2424
Zn: 0.0000 0.0000 0.5454
Zn: 0.3333 0.6667 0.1290
Zn: 0.3333 0.6667 0.7041
Zn: 0.6667 0.3333 0.3414
Zn: 0.6667 0.3333 0.8573
Ni: 0.0000 0.0000 0.7734
Ni: 0.6667 0.3333 0.1038
Au: 0.3333 0.6667 0.4393

Top 12 peaks for 10 to 90 degrees two-theta, most intense first:
| 2θ/deg | d_spacing | I/Imax |
| --- | --- | --- |
| 43.49 | 2.081 | 100 |
| 42.68 | 2.119 | 80 |
| 35.81 | 2.508 | 48 |
| 26.15 | 3.408 | 48 |
| 62.57 | 1.484 | 25 |
| 79.28 | 1.208 | 24 |
| 79.84 | 1.201 | 16 |
| 25.51 | 3.492 | 15 |
| 51.10 | 1.787 | 14 |
| 30.10 | 2.969 | 13 |
| 57.56 | 1.601 | 12 |
| 50.38 | 1.811 | 12 |

***

[4]
ZrNiAu2: simulated X-ray powder pattern (a wavelength of 1.5418 Å), based on DFT lattice parameters and positions (PBE).
Intensities are scaled so that the largest is 100.

Cell and atoms:
Cell: 4.9594 4.9594 4.9594 Å, 130.89 130.89 71.98°
Element x y z (fractional)
Zr: 0.0000 0.0000 0.0000
Ni: 0.7500 0.2500 0.5000
Au: 0.2500 0.7500 0.5000
Au: 0.5000 0.5000 0.0000

Top 12 peaks for 10 to 90 degrees two-theta, most intense first:
| 2θ/deg | d_spacing | I/Imax |
| --- | --- | --- |
| 38.16 | 2.358 | 100 |
| 43.94 | 2.061 | 34 |
| 24.28 | 3.666 | 29 |
| 76.91 | 1.240 | 26 |
| 64.86 | 1.438 | 21 |
| 45.19 | 2.006 | 15 |
| 78.71 | 1.216 | 12 |
| 81.67 | 1.179 | 11 |
| 63.88 | 1.457 | 11 |
| 50.83 | 1.796 | 9 |
| 40.19 | 2.244 | 8 |
| 61.05 | 1.518 | 5 |